Computed powder X-ray diffraction pattern of HfAlCr for λ = 1.5418 Å (Cu Kα), from a crystal structure in the Materials Project, relaxed with PBE.
Kinematic intensities with the Lorentz-polarization factor, no thermal factor.

The 6 most intense peaks (2θ from 10° to 90°), low angle first:
two_theta  I/Imax
20.00  41
34.99  63
37.70  100
41.13  69
42.06  37
64.55  37

Structure:
Unit cell a=8.486 b=5.126 c=5.126 alpha=60.10 beta=90.00 gamma=90.00
Atoms (fractional coordinates):
Hf1 0.178 0.000 0.000
Hf2 0.309 0.337 0.337
Hf3 0.691 0.337 0.337
Hf4 0.822 0.000 0.000
Al1 0.240 0.677 0.677
Al2 0.500 0.329 0.839
Al3 0.500 0.839 0.329
Al4 0.760 0.677 0.677
Cr1 0.000 0.033 0.492
Cr2 0.000 0.492 0.033
Cr3 0.000 0.494 0.494
Cr4 0.500 0.839 0.839

---

Computed powder X-ray diffraction pattern of DyV2Co10 for λ = 1.5418 Å (Cu Kα), from a crystal structure in the Materials Project, relaxed with PBE.
Kinematic intensities with the Lorentz-polarization factor, no thermal factor.

The 6 most intense peaks (2θ from 10° to 90°), low angle first:
two_theta  I/Imax
30.72  38
37.70  43
43.39  31
43.52  26
43.73  100
44.52  69

Structure:
Unit cell a=6.335 b=6.335 c=6.335 alpha=136.80 beta=97.93 gamma=97.65
Atoms (fractional coordinates):
Dy1 0.000 0.000 0.000
V1 0.361 0.361 0.000
V2 0.639 0.639 0.000
Co1 0.000 0.000 0.500
Co2 0.000 0.500 0.000
Co3 0.218 0.500 0.718
Co4 0.221 0.721 0.500
Co5 0.359 0.000 0.359
Co6 0.500 0.000 0.000
Co7 0.500 0.500 0.500
Co8 0.641 0.000 0.641
Co9 0.779 0.279 0.500
Co10 0.782 0.500 0.282

---

Computed powder X-ray diffraction pattern of ThCdRh2 for λ = 1.5418 Å (Cu Kα), from a crystal structure in the Materials Project, relaxed with PBE.
Kinematic intensities with the Lorentz-polarization factor, no thermal factor.

The 6 most intense peaks (2θ from 10° to 90°), low angle first:
two_theta  I/Imax
22.54  9
26.08  6
37.21  100
53.65  17
67.10  35
79.31  11

Structure:
Unit cell a=4.832 b=4.832 c=4.832 alpha=60.00 beta=60.00 gamma=60.00
Atoms (fractional coordinates):
Th1 0.000 0.000 0.000
Cd1 0.500 0.500 0.500
Rh1 0.250 0.250 0.250
Rh2 0.750 0.750 0.750

---

Computed powder X-ray diffraction pattern of CsGd2Cl7 for λ = 1.5418 Å (Cu Kα), from a crystal structure in the Materials Project, relaxed with PBE.
Kinematic intensities with the Lorentz-polarization factor, no thermal factor.

The 6 most intense peaks (2θ from 10° to 90°), low angle first:
two_theta  I/Imax
12.82  51
19.18  100
25.04  61
33.97  30
36.24  37
40.84  41

Structure:
Unit cell a=13.806 b=7.126 c=12.885 alpha=90.00 beta=90.00 gamma=90.00
Atoms (fractional coordinates):
Cs1 0.042 0.250 0.196
Cs2 0.458 0.750 0.696
Cs3 0.542 0.250 0.304
Cs4 0.958 0.750 0.804
Gd1 0.237 0.250 0.540
Gd2 0.250 0.250 0.844
Gd3 0.250 0.750 0.344
Gd4 0.263 0.750 0.040
Gd5 0.737 0.250 0.960
Gd6 0.750 0.250 0.656
Gd7 0.750 0.750 0.156
Gd8 0.763 0.750 0.460
Cl1 0.112 0.750 0.189
Cl2 0.124 0.009 0.424
Cl3 0.124 0.491 0.424
Cl4 0.136 0.009 0.960
Cl5 0.136 0.491 0.960
Cl6 0.177 0.014 0.694
Cl7 0.177 0.486 0.694
Cl8 0.323 0.514 0.194
Cl9 0.323 0.986 0.194
Cl10 0.364 0.509 0.460
Cl11 0.364 0.991 0.460
Cl12 0.376 0.509 0.924
Cl13 0.376 0.991 0.924
Cl14 0.388 0.250 0.689
Cl15 0.612 0.750 0.311
Cl16 0.624 0.009 0.076
Cl17 0.624 0.491 0.076
Cl18 0.636 0.009 0.540
Cl19 0.636 0.491 0.540
Cl20 0.677 0.014 0.806
Cl21 0.677 0.486 0.806
Cl22 0.823 0.514 0.306
Cl23 0.823 0.986 0.306
Cl24 0.864 0.509 0.040
Cl25 0.864 0.991 0.040
Cl26 0.876 0.509 0.576
Cl27 0.876 0.991 0.576
Cl28 0.888 0.250 0.811

---

Computed powder X-ray diffraction pattern of MgCo4S8 for λ = 1.5418 Å (Cu Kα), from a crystal structure in the Materials Project, relaxed with PBE.
Kinematic intensities with the Lorentz-polarization factor, no thermal factor.

The 6 most intense peaks (2θ from 10° to 90°), low angle first:
two_theta  I/Imax
14.98  100
31.37  19
37.14  83
47.74  23
51.99  23
55.05  26

Structure:
Unit cell a=7.057 b=7.057 c=7.057 alpha=56.43 beta=56.43 gamma=56.43
Atoms (fractional coordinates):
Mg1 0.000 0.000 0.000
Co1 0.000 0.000 0.500
Co2 0.000 0.500 0.000
Co3 0.500 0.000 0.000
Co4 0.500 0.500 0.500
S1 0.229 0.736 0.736
S2 0.234 0.234 0.234
S3 0.264 0.264 0.771
S4 0.264 0.771 0.264
S5 0.736 0.229 0.736
S6 0.736 0.736 0.229
S7 0.766 0.766 0.766
S8 0.771 0.264 0.264

---

Computed powder X-ray diffraction pattern of PuNp3 for λ = 1.5418 Å (Cu Kα), from a crystal structure in the Materials Project, relaxed with PBE.
Kinematic intensities with the Lorentz-polarization factor, no thermal factor.

The 4 most intense peaks (2θ from 10° to 90°), low angle first:
two_theta  I/Imax
39.12  100
56.53  18
70.89  36
84.08  12

Structure:
Unit cell a=4.605 b=4.605 c=4.605 alpha=60.00 beta=60.00 gamma=60.00
Atoms (fractional coordinates):
Pu1 0.000 0.000 0.000
Np1 0.250 0.250 0.250
Np2 0.500 0.500 0.500
Np3 0.750 0.750 0.750

---

Computed powder X-ray diffraction pattern of NdAl3 for λ = 1.5418 Å (Cu Kα), from a crystal structure in the Materials Project, relaxed with PBE.
Kinematic intensities with the Lorentz-polarization factor, no thermal factor.

The 6 most intense peaks (2θ from 10° to 90°), low angle first:
two_theta  I/Imax
24.83  98
27.53  48
31.89  25
37.41  100
38.63  22
47.07  23

Structure:
Unit cell a=6.480 b=6.480 c=4.661 alpha=90.00 beta=90.00 gamma=120.00
Atoms (fractional coordinates):
Nd1 0.333 0.667 0.250
Nd2 0.667 0.333 0.750
Al1 0.141 0.283 0.750
Al2 0.141 0.859 0.750
Al3 0.283 0.141 0.250
Al4 0.717 0.859 0.750
Al5 0.859 0.141 0.250
Al6 0.859 0.717 0.250

---

Computed powder X-ray diffraction pattern of Mg2Cd for λ = 1.5418 Å (Cu Kα), from a crystal structure in the Materials Project, relaxed with PBE.
Kinematic intensities with the Lorentz-polarization factor, no thermal factor.

The 6 most intense peaks (2θ from 10° to 90°), low angle first:
two_theta  I/Imax
20.07  100
22.13  81
34.41  87
36.69  76
37.63  71
38.11  70

Structure:
Unit cell a=5.470 b=5.470 c=6.203 alpha=118.38 beta=118.38 gamma=57.94
Atoms (fractional coordinates):
Mg1 0.084 0.251 0.251
Mg2 0.251 0.084 0.751
Mg3 0.749 0.916 0.249
Mg4 0.916 0.749 0.749
Cd1 0.415 0.585 0.250
Cd2 0.585 0.415 0.750

---

Computed powder X-ray diffraction pattern of NbRh for λ = 1.5418 Å (Cu Kα), from a crystal structure in the Materials Project, relaxed with PBE.
Kinematic intensities with the Lorentz-polarization factor, no thermal factor.

The 6 most intense peaks (2θ from 10° to 90°), low angle first:
two_theta  I/Imax
38.71  57
38.90  64
39.18  30
41.45  100
45.06  37
79.46  27

Structure:
Unit cell a=13.891 b=2.863 c=4.873 alpha=90.00 beta=90.00 gamma=90.00
Atoms (fractional coordinates):
Nb1 0.084 0.000 0.176
Nb2 0.250 0.000 0.546
Nb3 0.416 0.000 0.176
Nb4 0.584 0.000 0.824
Nb5 0.750 0.000 0.454
Nb6 0.916 0.000 0.824
Rh1 0.083 0.500 0.677
Rh2 0.250 0.500 0.040
Rh3 0.417 0.500 0.677
Rh4 0.583 0.500 0.323
Rh5 0.750 0.500 0.960
Rh6 0.917 0.500 0.323

---

Q: Number 5 is which compound?
A: MgCo4S8